Entry 1:
Starting from DFT lattice parameters and positions (PBE), the X-ray powder pattern of MgTlS was computed for Cu Ka.
Neutral-atom scattering factors, no anomalous dispersion.

Cell and atoms:
```
MgTlS
1.0
3.9291 0.0000 0.0000
0.0062 6.4936 0.0000
0.0010 2.4332 6.3407
Mg Tl S
2 2 2
Direct
0.0000 0.0000 0.0000
0.4987 0.9996 0.5001
0.4981 0.6021 0.9667
0.9957 0.6021 0.4664
0.4994 0.1394 0.1187
0.9982 0.1394 0.6187
```

The 12 most intense peaks (2θ from 10° to 90°), sorted by position:
- 2θ 14.61, intensity 70
- 2θ 26.68, intensity 100
- 2θ 27.96, intensity 72
- 2θ 28.15, intensity 36
- 2θ 29.47, intensity 39
- 2θ 32.75, intensity 19
- 2θ 32.97, intensity 38
- 2θ 36.06, intensity 32
- 2θ 43.96, intensity 24
- 2θ 46.26, intensity 40
- 2θ 48.69, intensity 16
- 2θ 54.96, intensity 17

---

Entry 2:
Starting from DFT lattice parameters and positions (PBE), the X-ray powder pattern of LiEuInPt was computed for Cu Ka.
Neutral-atom scattering factors, no anomalous dispersion.

Cell and atoms:
```
LiEuInPt
1.0
0.0000 3.4771 3.4771
3.4771 0.0000 3.4771
3.4771 3.4771 0.0000
Li Eu In Pt
1 1 1 1
Direct
0.0000 0.0000 0.0000
0.7500 0.7500 0.7500
0.2500 0.2500 0.2500
0.5000 0.5000 0.5000
```

The 12 most intense peaks (2θ from 10° to 90°), sorted by position:
- 2θ 22.14, intensity 39
- 2θ 25.62, intensity 3
- 2θ 36.55, intensity 100
- 2θ 43.14, intensity 21
- 2θ 52.64, intensity 17
- 2θ 57.79, intensity 9
- 2θ 59.44, intensity 1
- 2θ 65.79, intensity 36
- 2θ 70.34, intensity 7
- 2θ 77.67, intensity 11
- 2θ 81.97, intensity 7
- 2θ 89.03, intensity 16

---

Entry 3:
Starting from DFT lattice parameters and positions (PBE), the X-ray powder pattern of Sr2ZnAg4 was computed for Cu Ka.
Neutral-atom scattering factors, no anomalous dispersion.

Cell and atoms:
```
Sr2ZnAg4
1.0
6.1749 0.0000 0.0000
0.0000 6.4558 0.0000
-2.1313 0.0000 8.8233
Sr Zn Ag
4 2 8
Direct
0.1289 0.2500 0.4022
0.2725 0.7500 0.0275
0.7275 0.2500 0.9725
0.8711 0.7500 0.5978
0.1250 0.2500 0.7748
0.8750 0.7500 0.2252
0.2687 0.2500 0.0761
0.2937 0.7500 0.4061
0.4019 0.5308 0.6972
0.4019 0.9692 0.6972
0.5981 0.0308 0.3028
0.5981 0.4692 0.3028
0.7063 0.2500 0.5939
0.7313 0.7500 0.9239
```

The 12 most intense peaks (2θ from 10° to 90°), sorted by position:
- 2θ 14.76, intensity 42
- 2θ 31.47, intensity 42
- 2θ 31.90, intensity 95
- 2θ 32.91, intensity 48
- 2θ 33.62, intensity 45
- 2θ 34.20, intensity 69
- 2θ 34.43, intensity 65
- 2θ 35.62, intensity 61
- 2θ 37.06, intensity 100
- 2θ 40.56, intensity 44
- 2θ 41.07, intensity 52
- 2θ 41.66, intensity 66

---

Entry 4:
Starting from DFT lattice parameters and positions (PBE), the X-ray powder pattern of PSe3Br3 was computed for Cu Ka.
Neutral-atom scattering factors, no anomalous dispersion.

Cell and atoms:
```
PSe3Br3
1.0
7.9037 0.0000 0.0000
2.6033 8.7377 0.0000
2.2564 0.4154 9.1927
P Se Br
2 6 6
Direct
0.1522 0.2610 0.1298
0.8478 0.7390 0.8702
0.0787 0.0668 0.2876
0.3259 0.8614 0.1808
0.4838 0.2144 0.6600
0.5162 0.7856 0.3400
0.6741 0.1386 0.8192
0.9213 0.9332 0.7124
0.1167 0.5678 0.7898
0.2559 0.0786 0.7235
0.3420 0.3407 0.2301
0.6580 0.6593 0.7699
0.7441 0.9214 0.2765
0.8833 0.4322 0.2102
```

The 12 most intense peaks (2θ from 10° to 90°), sorted by position:
- 2θ 10.13, intensity 24
- 2θ 14.67, intensity 26
- 2θ 19.31, intensity 100
- 2θ 20.67, intensity 14
- 2θ 22.15, intensity 29
- 2θ 22.95, intensity 27
- 2θ 23.12, intensity 14
- 2θ 27.10, intensity 22
- 2θ 27.50, intensity 16
- 2θ 28.70, intensity 29
- 2θ 37.01, intensity 17
- 2θ 41.51, intensity 16

---

Entry 5:
Starting from DFT lattice parameters and positions (PBE), the X-ray powder pattern of K2Pt3Pb5 was computed for Cu Ka.
Neutral-atom scattering factors, no anomalous dispersion.

Cell and atoms:
```
K2Pt3Pb5
1.0
2.3945 -14.2332 0.0000
2.3945 14.2332 0.0000
0.0000 0.0000 7.7044
K Pt Pb
4 6 10
Direct
0.0217 0.9783 0.5000
0.3252 0.6748 0.5256
0.6748 0.3252 0.0256
0.9783 0.0217 0.0000
0.1064 0.8936 0.2357
0.2764 0.7236 0.0334
0.4476 0.5524 0.2948
0.5524 0.4476 0.7948
0.7236 0.2764 0.5334
0.8936 0.1064 0.7357
0.0987 0.9013 0.8659
0.2040 0.7960 0.3176
0.2097 0.7903 0.7389
0.3765 0.6235 0.0011
0.4497 0.5503 0.6692
0.5503 0.4497 0.1692
0.6235 0.3765 0.5011
0.7903 0.2097 0.2389
0.7960 0.2040 0.8176
0.9013 0.0987 0.3659
```

The 12 most intense peaks (2θ from 10° to 90°), sorted by position:
- 2θ 16.96, intensity 47
- 2θ 18.71, intensity 32
- 2θ 20.78, intensity 25
- 2θ 31.10, intensity 59
- 2θ 31.25, intensity 100
- 2θ 33.97, intensity 30
- 2θ 37.23, intensity 34
- 2θ 37.56, intensity 69
- 2θ 39.58, intensity 30
- 2θ 41.00, intensity 26
- 2θ 41.47, intensity 83
- 2θ 58.66, intensity 32

---

Entry 6:
Starting from DFT lattice parameters and positions (PBE), the X-ray powder pattern of Cs8IBr6 was computed for Cu Ka.
Neutral-atom scattering factors, no anomalous dispersion.

Cell and atoms:
```
Cs8IBr6
1.0
13.2748 0.0000 0.0000
-6.6374 11.4963 0.0000
0.0000 0.0000 5.4763
Cs I Br
8 1 6
Direct
0.0363 0.7066 0.2592
0.2934 0.3298 0.2592
0.3298 0.0363 0.7408
0.3333 0.6667 0.7472
0.6667 0.3333 0.2528
0.6702 0.9637 0.2592
0.7066 0.6702 0.7408
0.9637 0.2934 0.7408
0.0000 0.0000 0.5000
0.1298 0.4766 0.2434
0.3468 0.8702 0.2434
0.4766 0.3468 0.7566
0.5234 0.6532 0.2434
0.6532 0.1298 0.7566
0.8702 0.5234 0.7566
```

The 12 most intense peaks (2θ from 10° to 90°), sorted by position:
- 2θ 21.03, intensity 55
- 2θ 22.42, intensity 59
- 2θ 23.21, intensity 94
- 2θ 26.18, intensity 100
- 2θ 27.98, intensity 41
- 2θ 31.52, intensity 84
- 2θ 32.70, intensity 30
- 2θ 37.86, intensity 44
- 2θ 40.49, intensity 22
- 2θ 43.57, intensity 21
- 2θ 51.94, intensity 20
- 2θ 58.69, intensity 31